DyHo2Co2C2N3: computed PXRD pattern (Cu Kα, 1.54184 Å), based on DFT lattice parameters and positions (GGA-PBE).

Main lines, in order of rising 2θ (2θ = 10–80°):
2θ (°)	Rel. int.	(hkl)
29.46	100	1 0 3
34.92	70	1 0 5
37.01	41	1 1 0
37.15	45	0 0 8
38.20	32	1 1 2
41.60	29	1 1 4
46.82	25	1 1 6
53.34	35	2 0 0
62.11	27	2 1 3
66.79	31	2 0 8

Atomic structure:
```
data_DyHo2Co2C2N3
_chemical_formula_sum 'Dy2 Ho4 Co4 C4 N6'
_cell_length_a 3.435
_cell_length_b 3.435
_cell_length_c 19.361
_cell_angle_alpha 90.00
_cell_angle_beta 90.00
_cell_angle_gamma 90.00
_space_group_name_H-M_alt 'I 4/m m m'
_space_group_IT_number 139
_space_group_name_Hall '-I 4 2'
loop_
_atom_site_label
_atom_site_type_symbol
_atom_site_fract_x
_atom_site_fract_y
_atom_site_fract_z
_atom_site_occupancy
Dy1 Dy 0.000 0.000 0.000 1
Ho1 Ho 0.000 0.000 0.373 1
Co1 Co 0.000 0.500 0.250 1
C1 C 0.000 0.000 0.194 1
N1 N 0.000 0.000 0.120 1
N2 N 0.000 0.000 0.500 1
```

***

DyLuCo2C2: computed PXRD pattern (Cu Kα, 1.54184 Å), based on DFT lattice parameters and positions (GGA-PBE).

Main lines, in order of rising 2θ (2θ = 10–80°):
2θ (°)	Rel. int.	(hkl)
24.71	28	1 0 0
26.37	9	0 0 2
35.23	50	1 1 0
36.45	100	1 0 2
44.54	15	1 1 2
50.68	21	2 0 0
54.28	8	0 0 4
64.03	38	2 1 2
66.38	15	1 1 4
77.44	11	2 0 4

Atomic structure:
```
data_DyLuCo2C2
_chemical_formula_sum 'Dy1 Lu1 Co2 C2'
_cell_length_a 3.602
_cell_length_b 3.602
_cell_length_c 6.760
_cell_angle_alpha 90.00
_cell_angle_beta 90.00
_cell_angle_gamma 90.00
_space_group_name_H-M_alt 'P -4 m 2'
_space_group_IT_number 115
loop_
_space_group_symop_operation_xyz
'x,y,z'
'y,-x,-z'
'-x,-y,z'
'-y,x,-z'
'-x,y,z'
'-y,-x,-z'
'x,-y,z'
'y,x,-z'
loop_
_atom_site_label
_atom_site_type_symbol
_atom_site_fract_x
_atom_site_fract_y
_atom_site_fract_z
_atom_site_occupancy
Dy1 Dy 0.000 0.000 0.000 1
Lu1 Lu 0.000 0.000 0.500 1
Co1 Co 0.500 0.500 0.263 1
C1 C 0.000 0.500 0.257 1
```